(1)
Starting from a DFT-relaxed cell (PBE, the Materials Project), the X-ray powder pattern of EuICl was simulated for λ = 1.5418 Å (Cu Kα).

The 10 most intense peaks (10° ≤ 2θ ≤ 90°), by intensity:
- 2θ 28.36, I = 100
- 2θ 30.60, I = 90
- 2θ 41.02, I = 74
- 2θ 19.70, I = 61
- 2θ 33.05, I = 41
- 2θ 34.12, I = 29
- 2θ 32.36, I = 25
- 2θ 61.56, I = 21
- 2θ 59.43, I = 20
- 2θ 53.69, I = 20

Structure:
a = 8.4039 Å, b = 4.3958 Å, c = 10.6781 Å
α = 90.00°, β = 90.00°, γ = 90.00°
Fractional positions:
Eu 0.1763 0.2500 0.1328
Eu 0.3237 0.7500 0.6328
Eu 0.6763 0.2500 0.3672
Eu 0.8237 0.7500 0.8672
I 0.0118 0.2500 0.6797
I 0.4882 0.7500 0.1797
I 0.5118 0.2500 0.8203
I 0.9882 0.7500 0.3203
Cl 0.1553 0.7500 0.9553
Cl 0.3447 0.2500 0.4553
Cl 0.6553 0.7500 0.5447
Cl 0.8447 0.2500 0.0447

---

(2)
Starting from a DFT-relaxed cell (PBE, the Materials Project), the X-ray powder pattern of CsMg14Cr was simulated for λ = 1.5418 Å (Cu Kα).

The 10 most intense peaks (10° ≤ 2θ ≤ 90°), by intensity:
- 2θ 35.98, I = 100
- 2θ 33.42, I = 26
- 2θ 17.76, I = 23
- 2θ 31.77, I = 19
- 2θ 61.41, I = 18
- 2θ 46.75, I = 18
- 2θ 22.87, I = 16
- 2θ 15.70, I = 14
- 2θ 67.22, I = 12
- 2θ 56.46, I = 11

Structure:
a = 10.7259 Å, b = 6.5189 Å, c = 6.5189 Å
α = 59.80°, β = 90.00°, γ = 90.00°
Fractional positions:
Cs 0.0000 0.0000 0.0000
Mg 0.0000 0.0039 0.4970
Mg 0.0000 0.4970 0.0039
Mg 0.2417 0.6627 0.6627
Mg 0.2640 0.1723 0.6519
Mg 0.2640 0.6519 0.1723
Mg 0.2696 0.1704 0.1704
Mg 0.5000 0.4999 0.4999
Mg 0.5000 0.5012 0.9951
Mg 0.5000 0.9951 0.5012
Mg 0.5000 0.9979 0.9979
Mg 0.7304 0.1704 0.1704
Mg 0.7360 0.1723 0.6519
Mg 0.7360 0.6519 0.1723
Mg 0.7583 0.6627 0.6627
Cr 0.0000 0.4950 0.4950

---

(3)
Starting from a DFT-relaxed cell (PBE, the Materials Project), the X-ray powder pattern of Er2Fe17C3 was simulated for λ = 1.5418 Å (Cu Kα).

The 10 most intense peaks (10° ≤ 2θ ≤ 90°), by intensity:
- 2θ 42.39, I = 100
- 2θ 42.11, I = 74
- 2θ 43.22, I = 55
- 2θ 29.81, I = 46
- 2θ 36.25, I = 41
- 2θ 61.29, I = 34
- 2θ 61.93, I = 32
- 2θ 37.50, I = 30
- 2θ 78.70, I = 17
- 2θ 76.96, I = 16

Structure:
a = 6.4871 Å, b = 6.4871 Å, c = 6.4871 Å
α = 82.84°, β = 82.84°, γ = 82.84°
Fractional positions:
Er 0.1582 0.1582 0.1582
Er 0.8418 0.8418 0.8418
Fe 0.0000 0.5000 0.5000
Fe 0.1561 0.1561 0.6454
Fe 0.1561 0.6454 0.1561
Fe 0.2160 0.5000 0.7840
Fe 0.2160 0.7840 0.5000
Fe 0.3546 0.8439 0.8439
Fe 0.4042 0.4042 0.4042
Fe 0.5000 0.0000 0.5000
Fe 0.5000 0.2160 0.7840
Fe 0.5000 0.5000 0.0000
Fe 0.5000 0.7840 0.2160
Fe 0.5958 0.5958 0.5958
Fe 0.6454 0.1561 0.1561
Fe 0.7840 0.2160 0.5000
Fe 0.7840 0.5000 0.2160
Fe 0.8439 0.3546 0.8439
Fe 0.8439 0.8439 0.3546
C 0.0000 0.0000 0.5000
C 0.0000 0.5000 0.0000
C 0.5000 0.0000 0.0000